This entry pairs a crystal structure of Na3Sr2PuO6 with its computed PXRD pattern. Radiation: Cu Ka. Structure: DFT lattice parameters and positions (GGA-PBE).
Intensities are scaled so that the largest is 100.

Atomic structure:
```
data_Na3Sr2PuO6
_chemical_formula_sum 'Na3 Sr2 Pu1 O6'
_cell_length_a 6.2281
_cell_length_b 6.2281
_cell_length_c 5.9663
_cell_angle_alpha 99.73
_cell_angle_beta 99.73
_cell_angle_gamma 120.46
_space_group_name_H-M_alt 'P 1'
_space_group_IT_number 1
loop_
_space_group_symop_operation_xyz
'x,y,z'
loop_
_atom_site_label
_atom_site_type_symbol
_atom_site_fract_x
_atom_site_fract_y
_atom_site_fract_z
Na1 Na 0.0000 0.0000 0.0000
Na2 Na 0.3495 0.6505 0.0000
Na3 Na 0.6505 0.3495 0.0000
Sr1 Sr 0.1679 0.8321 0.5000
Sr2 Sr 0.8321 0.1679 0.5000
Pu1 Pu 0.5000 0.5000 0.5000
O1 O 0.1396 0.4287 0.2805
O2 O 0.2765 0.2765 0.7109
O3 O 0.4287 0.1396 0.2805
O4 O 0.5713 0.8604 0.7195
O5 O 0.7235 0.7235 0.2891
O6 O 0.8604 0.5713 0.7195
```

Main lines, in order of rising 2θ (2θ from 10° to 80°):
2θ = 15.80°, d 5.610, intensity 100; 2θ = 17.31°, d 5.121, intensity 34; 2θ = 29.15°, d 3.063, intensity 40; 2θ = 30.64°, d 2.918, intensity 48; 2θ = 35.83°, d 2.506, intensity 69; 2θ = 36.13°, d 2.486, intensity 38